# 1
Computed X-ray powder pattern
Compound: Sm4MgTi2Mn2O12
Radiation: copper Kα
Structure: a crystal structure in the Materials Project, relaxed with GGA+U
Kinematic intensities with the Lorentz-polarization factor, no thermal factor.

a = 5.6087 Å, b = 5.7001 Å, c = 8.7182 Å
α = 89.05°, β = 83.54°, γ = 85.54°
Fractional positions:
Sm1 0.0000 0.0000 0.0000
Sm2 0.0874 0.8772 0.5366
Sm3 0.5150 0.3774 0.4773
Sm4 0.6110 0.5221 0.0759
Mg1 0.3074 0.4455 0.8447
Ti1 0.0660 0.4246 0.2693
Ti2 0.5324 0.9283 0.7686
Mn1 0.5903 0.9267 0.3154
Mn2 0.8881 0.4050 0.7129
O1 0.1951 0.3435 0.0597
O2 0.1984 0.1599 0.7342
O3 0.2609 0.1406 0.3695
O4 0.3589 0.6381 0.3055
O5 0.3595 0.7861 0.9473
O6 0.3753 0.6461 0.6580
O7 0.6507 0.2394 0.8702
O8 0.6834 0.0105 0.5577
O9 0.7667 0.2340 0.2338
O10 0.8484 0.7318 0.8287
O11 0.8733 0.7343 0.1874
O12 0.9119 0.5127 0.4857

Peak list (8 most intense, 2θ = 15–90°, in order of rising 2θ)
2θ 20.51, I 43.9
2θ 21.50, I 46.3
2θ 28.49, I 40.5
2θ 30.02, I 61.2
2θ 31.21, I 94.7
2θ 31.49, I 47.1
2θ 32.27, I 100.0
2θ 33.30, I 39.0

---

# 2
Computed X-ray powder pattern
Compound: Sm4MgTi2Mn2O12
Radiation: copper Kα
Structure: a crystal structure in the Materials Project, relaxed with GGA+U
Kinematic intensities with the Lorentz-polarization factor, no thermal factor.

a = 5.4784 Å, b = 5.9773 Å, c = 8.3566 Å
α = 90.99°, β = 90.63°, γ = 91.70°
Fractional positions:
Sm1 0.0000 0.0000 0.0000
Sm2 0.0673 0.8065 0.5540
Sm3 0.4716 0.3351 0.5479
Sm4 0.5779 0.4795 0.0007
Mg1 0.1238 0.5829 0.1856
Ti1 0.0293 0.4022 0.7761
Ti2 0.5297 0.9015 0.2778
Mn1 0.5487 0.9054 0.7535
Mn2 0.9171 0.2113 0.3672
O1 0.1578 0.3655 0.0076
O2 0.2194 0.1013 0.7259
O3 0.2516 0.0775 0.3672
O4 0.3340 0.5954 0.7305
O5 0.3368 0.6130 0.3757
O6 0.3423 0.8088 0.0725
O7 0.6979 0.9757 0.5032
O8 0.7032 0.1852 0.1691
O9 0.7301 0.2156 0.8219
O10 0.8090 0.7258 0.1907
O11 0.8457 0.7063 0.8301
O12 0.8932 0.4441 0.5484

Peak list (8 most intense, 2θ = 15–90°, in order of rising 2θ)
2θ 21.27, I 59.9
2θ 22.35, I 48.1
2θ 30.61, I 100.0
2θ 31.37, I 95.0
2θ 31.63, I 61.6
2θ 32.71, I 46.5
2θ 37.31, I 51.2
2θ 39.09, I 94.6

---

# 3
Computed X-ray powder pattern
Compound: Sm4MgTi2Mn2O12
Radiation: copper Kα
Structure: a crystal structure in the Materials Project, relaxed with GGA+U
Kinematic intensities with the Lorentz-polarization factor, no thermal factor.

a = 5.5713 Å, b = 6.1628 Å, c = 7.8124 Å
α = 91.52°, β = 90.54°, γ = 94.05°
Fractional positions:
Sm1 0.0000 0.0000 0.0000
Sm2 0.0476 0.7968 0.5047
Sm3 0.4446 0.3551 0.4972
Sm4 0.5456 0.5076 0.9908
Mg1 0.9130 0.1935 0.4031
Ti1 0.5044 0.9219 0.2396
Ti2 0.9863 0.4210 0.7580
Mn1 0.0204 0.5012 0.1656
Mn2 0.5311 0.9210 0.7409
O1 0.1378 0.1426 0.6455
O2 0.1666 0.3507 0.9665
O3 0.2037 0.0855 0.2986
O4 0.2972 0.6115 0.6839
O5 0.3205 0.6185 0.3083
O6 0.3846 0.8714 0.0023
O7 0.6473 0.9852 0.4786
O8 0.6903 0.2458 0.8012
O9 0.7274 0.2326 0.1833
O10 0.8044 0.7501 0.1857
O11 0.8293 0.7235 0.8052
O12 0.8516 0.4660 0.5104

Peak list (8 most intense, 2θ = 15–90°, in order of rising 2θ)
2θ 22.77, I 74.4
2θ 30.86, I 74.7
2θ 30.98, I 60.8
2θ 31.18, I 96.7
2θ 31.64, I 100.0
2θ 32.22, I 83.9
2θ 32.52, I 79.5
2θ 46.52, I 39.6

---

# 4
Computed X-ray powder pattern
Compound: Sm4MgTi2Mn2O12
Radiation: copper Kα
Structure: a crystal structure in the Materials Project, relaxed with GGA+U
Kinematic intensities with the Lorentz-polarization factor, no thermal factor.

a = 5.5476 Å, b = 6.0996 Å, c = 8.0646 Å
α = 87.83°, β = 87.96°, γ = 87.17°
Fractional positions:
Sm1 0.0000 0.0000 0.0000
Sm2 0.0770 0.8474 0.4766
Sm3 0.5430 0.3241 0.4745
Sm4 0.6271 0.5440 0.0444
Mg1 0.4335 0.1940 0.8767
Ti1 0.0776 0.4161 0.2517
Ti2 0.5353 0.8252 0.7201
Mn1 0.0311 0.4418 0.7369
Mn2 0.5589 0.9263 0.2580
O1 0.2102 0.3702 0.0097
O2 0.2526 0.1229 0.3141
O3 0.2850 0.0906 0.6804
O4 0.3590 0.5958 0.6559
O5 0.3752 0.6027 0.2932
O6 0.4322 0.8924 0.9729
O7 0.6879 0.9503 0.5084
O8 0.7582 0.2653 0.8448
O9 0.7696 0.2314 0.2052
O10 0.8600 0.7494 0.8132
O11 0.8947 0.7376 0.1953
O12 0.9369 0.4661 0.4786

Peak list (8 most intense, 2θ = 15–90°, in order of rising 2θ)
2θ 22.07, I 21.1
2θ 22.21, I 15.7
2θ 23.39, I 18.9
2θ 24.85, I 26.2
2θ 29.96, I 17.8
2θ 31.03, I 22.6
2θ 31.53, I 100.0
2θ 32.33, I 26.2

---

# 5
Computed X-ray powder pattern
Compound: Mg6MnSnO8
Radiation: copper Kα
Structure: a crystal structure in the Materials Project, relaxed with GGA+U
Kinematic intensities with the Lorentz-polarization factor, no thermal factor.

a = 4.4754 Å, b = 4.4754 Å, c = 8.8691 Å
α = 90.00°, β = 90.00°, γ = 90.00°
Fractional positions:
Mg1 0.0000 0.0000 0.0000
Mg2 0.0000 0.5000 0.2369
Mg3 0.0000 0.5000 0.7631
Mg4 0.5000 0.0000 0.2369
Mg5 0.5000 0.0000 0.7631
Mg6 0.5000 0.5000 0.0000
Mn1 0.0000 0.0000 0.5000
Sn1 0.5000 0.5000 0.5000
O1 0.0000 0.0000 0.2410
O2 0.0000 0.0000 0.7590
O3 0.0000 0.5000 0.0000
O4 0.0000 0.5000 0.5000
O5 0.5000 0.0000 0.0000
O6 0.5000 0.0000 0.5000
O7 0.5000 0.5000 0.2257
O8 0.5000 0.5000 0.7743

Peak list (8 most intense, 2θ = 15–90°, in order of rising 2θ)
2θ 20.02, I 23.5
2θ 29.98, I 34.2
2θ 34.83, I 56.4
2θ 40.30, I 100.0
2θ 40.69, I 46.0
2θ 58.32, I 30.2
2θ 58.61, I 56.5
2θ 73.53, I 26.8

---

# 6
Computed X-ray powder pattern
Compound: Mg6MnSnO8
Radiation: copper Kα
Structure: a crystal structure in the Materials Project, relaxed with GGA+U
Kinematic intensities with the Lorentz-polarization factor, no thermal factor.

a = 4.4778 Å, b = 4.4778 Å, c = 8.8786 Å
α = 90.00°, β = 90.00°, γ = 90.00°
Fractional positions:
Mg1 0.0000 0.0000 0.0000
Mg2 0.0000 0.0000 0.5000
Mg3 0.0000 0.5000 0.2400
Mg4 0.0000 0.5000 0.7600
Mg5 0.5000 0.0000 0.2400
Mg6 0.5000 0.0000 0.7600
Mn1 0.5000 0.5000 0.0000
Sn1 0.5000 0.5000 0.5000
O1 0.0000 0.0000 0.2484
O2 0.0000 0.0000 0.7516
O3 0.0000 0.5000 0.0000
O4 0.0000 0.5000 0.5000
O5 0.5000 0.0000 0.0000
O6 0.5000 0.0000 0.5000
O7 0.5000 0.5000 0.2342
O8 0.5000 0.5000 0.7658

Peak list (8 most intense, 2θ = 15–90°, in order of rising 2θ)
2θ 19.83, I 45.5
2θ 28.31, I 39.1
2θ 34.80, I 56.1
2θ 40.28, I 100.0
2θ 40.65, I 47.4
2θ 58.28, I 30.2
2θ 58.56, I 58.1
2θ 73.47, I 27.6